1.
Y3Mg8: simulated powder diffractogram (a wavelength of 1.5418 Å), based on DFT lattice parameters and positions (GGA-PBE).
Intensities are scaled so that the largest is 100.

Principal peaks in the range 10° ≤ 2θ ≤ 90°, low angle first:
h k l  two_theta  d (Å)  intensity
0 1 2  20.39  4.354  52
1 0 7  26.52  3.361  19
0 1 11  34.24  2.619  99
1 1 0  34.59  2.593  100
2 0 11  49.46  1.843  34
1 2 11  61.75  1.502  34

Cell and atoms:
Cell: 5.1869 5.1869 35.4634 Å, 90.00 90.00 120.00°
Space group R-3m (No. 166, hexagonal axes)
Symmetry-distinct sites (fractional):
Y1 0.0000 0.0000 0.0000 x3
Y2 0.0000 0.0000 0.4516 x6
Mg1 0.0000 0.0000 0.0882 x6
Mg2 0.0000 0.0000 0.1757 x6
Mg3 0.0000 0.0000 0.2726 x6
Mg4 0.0000 0.0000 0.3626 x6

2.
Ag2SnHgS4: simulated powder diffractogram (a wavelength of 1.5418 Å), based on DFT lattice parameters and positions (GGA-PBE).
Intensities are scaled so that the largest is 100.

Principal peaks in the range 10° ≤ 2θ ≤ 90°, low angle first:
h k l  two_theta  d (Å)  intensity
2 1 0  24.98  3.564  56
0 0 2  26.03  3.423  62
0 2 1  27.81  3.208  57
2 1 1  28.23  3.161  100
2 3 0  43.44  2.083  44
2 1 3  47.30  1.922  47

Cell and atoms:
Cell: 8.181 7.263 6.845 Å, 90.00 90.00 90.00°
Space group Pmn2_1 (No. 31)
Symmetry-distinct sites (fractional):
Ag1 0.247 0.170 0.000 x4
Sn1 0.000 0.667 0.990 x2
Hg1 0.000 0.349 0.489 x2
S1 0.000 0.351 0.871 x2
S2 0.000 0.679 0.347 x2
S3 0.241 0.835 0.873 x4

3.
TbMg6Ni6: simulated powder diffractogram (a wavelength of 1.5418 Å), based on DFT lattice parameters and positions (GGA-PBE).
Intensities are scaled so that the largest is 100.

Principal peaks in the range 10° ≤ 2θ ≤ 90°, low angle first:
h k l  two_theta  d (Å)  intensity
0 1 1  14.05  6.304  83
0 2 2  28.28  3.156  72
1 2 1  28.52  3.130  77
1 2 3  40.35  2.235  86
2 0 2  40.53  2.226  100
0 4 0  41.01  2.201  60

Cell and atoms:
Cell: 5.116 8.802 9.033 Å, 90.00 90.00 90.00°
Space group Immm (No. 71)
Symmetry-distinct sites (fractional):
Tb1 0.000 0.000 0.000 x2
Mg1 0.000 0.000 0.347 x4
Mg2 0.000 0.335 0.000 x4
Mg3 0.000 0.500 0.310 x4
Ni1 0.000 0.270 0.500 x4
Ni2 0.250 0.250 0.250 x8

4.
Tl2InGaO4: simulated powder diffractogram (a wavelength of 1.5418 Å), based on DFT lattice parameters and positions (GGA-PBE).
Intensities are scaled so that the largest is 100.

Principal peaks in the range 10° ≤ 2θ ≤ 90°, low angle first:
h k l  two_theta  d (Å)  intensity
1 1 3  21.60  4.114  86
1 1 5  28.08  3.178  77
0 4 0  29.30  3.048  65
0 2 6  30.55  2.926  82
2 2 0  34.32  2.613  100
1 3 5  35.08  2.558  66

Cell and atoms:
Cell: 5.785 12.192 20.013 Å, 90.00 90.00 90.00°
Space group Fddd (No. 70, origin choice 2)
Symmetry-distinct sites (fractional):
Tl1 0.125 0.125 0.316 x16
In1 0.125 0.125 0.125 x8
Ga1 0.125 0.125 0.625 x8
O1 0.102 0.273 0.844 x32

5.
RbRh6Se8: simulated powder diffractogram (a wavelength of 1.5418 Å), based on DFT lattice parameters and positions (GGA-PBE).
Intensities are scaled so that the largest is 100.

Principal peaks in the range 10° ≤ 2θ ≤ 90°, low angle first:
h k l  two_theta  d (Å)  intensity
1 0 1  12.86  6.886  100
3 -1 1  29.21  3.057  41
3 -2 2  31.93  2.803  48
4 -3 1  39.58  2.277  48
2 1 4  41.23  2.189  46
2 2 3  43.67  2.073  67

Cell and atoms:
Cell: 9.6508 9.6508 12.1488 Å, 90.00 90.00 120.00°
Space group R-3 (No. 148, hexagonal axes)
Symmetry-distinct sites (fractional):
Rb1 0.0000 0.0000 0.0000 x3
Rh1 0.0190 0.1985 0.3869 x18
Se1 0.0000 0.0000 0.2553 x6
Se2 0.0249 0.3907 0.2469 x18